No. 1
This entry pairs a crystal structure of Ce4GeIr with its simulated powder XRD pattern. Radiation: Cu Kα (weighted mean of Kα1 and Kα2). Structure: DFT lattice parameters and positions (PBE).

```
data_Ce4GeIr
_cell_length_a 5.034
_cell_length_b 6.560
_cell_length_c 8.643
_cell_angle_alpha 90.00
_cell_angle_beta 90.10
_cell_angle_gamma 90.00
_space_group_name_H-M_alt 'P 1 21/m 1'
_space_group_IT_number 11
_space_group_name_Hall '-P 2yb'
loop_
_atom_site_label
_atom_site_fract_x
_atom_site_fract_y
_atom_site_fract_z
Ce1 0.249 0.036 0.273
Ce2 0.251 0.250 0.618
Ce3 0.251 0.750 0.952
Ge1 0.250 0.750 0.584
Ir1 0.249 0.250 0.934
```

Largest 10 diffraction maxima, sorted by position, 2θ = 10–90°:
22.3 deg, I = 12, (1 1 0); 27.2 deg, I = 12, (0 2 0); 31.0 deg, I = 10, (0 0 3); 34.3 deg, I = 100, (0 2 2); 35.7 deg, I = 39, (2 0 0); 35.9 deg, I = 60, (1 0 3); 50.3 deg, I = 24, (2 2 -2); 54.0 deg, I = 10, (1 2 -4); 63.2 deg, I = 13, (3 2 1); 68.4 deg, I = 14, (1 4 3)

---

No. 2
This entry pairs a crystal structure of Ce4Ge8Ir with its simulated powder XRD pattern. Radiation: Cu Kα (weighted mean of Kα1 and Kα2). Structure: DFT lattice parameters and positions (PBE).

```
data_Ce4Ge8Ir
_cell_length_a 4.105
_cell_length_b 4.209
_cell_length_c 16.424
_cell_angle_alpha 90.00
_cell_angle_beta 90.00
_cell_angle_gamma 90.00
_space_group_name_H-M_alt 'P m m 2'
_space_group_IT_number 25
_space_group_name_Hall 'P 2 -2'
loop_
_atom_site_label
_atom_site_fract_x
_atom_site_fract_y
_atom_site_fract_z
Ce1 0.000 0.000 0.000
Ce2 0.000 0.500 0.490
Ce3 0.500 0.000 0.783
Ce4 0.500 0.500 0.281
Ge1 0.000 0.000 0.331
Ge2 0.000 0.000 0.622
Ge3 0.000 0.500 0.140
Ge4 0.000 0.500 0.853
Ge5 0.500 0.000 0.142
Ge6 0.500 0.000 0.432
Ge7 0.500 0.500 0.620
Ge8 0.500 0.500 0.949
Ir1 0.000 0.500 0.705
```

Largest 10 diffraction maxima, sorted by position, 2θ = 10–90°:
30.9 deg, I = 11, (1 1 1); 34.6 deg, I = 100, (1 1 3); 39.6 deg, I = 19, (1 0 6); 43.0 deg, I = 20, (0 2 0); 44.1 deg, I = 20, (2 0 0); 57.3 deg, I = 10, (2 1 5); 59.8 deg, I = 12, (1 2 6); 63.3 deg, I = 13, (2 2 0); 72.9 deg, I = 9, (2 1 9); 73.4 deg, I = 11, (1 3 3)

---

No. 3
This entry pairs a crystal structure of Ce2Ge3Ir with its simulated powder XRD pattern. Radiation: Cu Kα (weighted mean of Kα1 and Kα2). Structure: DFT lattice parameters and positions (PBE).

```
data_Ce2Ge3Ir
_cell_length_a 3.986
_cell_length_b 4.415
_cell_length_c 7.289
_cell_angle_alpha 90.00
_cell_angle_beta 90.00
_cell_angle_gamma 90.00
_space_group_name_H-M_alt 'P m m 2'
_space_group_IT_number 25
_space_group_name_Hall 'P 2 -2'
loop_
_atom_site_label
_atom_site_fract_x
_atom_site_fract_y
_atom_site_fract_z
Ce1 0.000 0.000 0.000
Ce2 0.000 0.500 0.478
Ge1 0.500 0.000 0.651
Ge2 0.500 0.500 0.156
Ge3 0.500 0.500 0.816
Ir1 0.500 0.000 0.312
```

Largest 10 diffraction maxima, sorted by position, 2θ = 10–90°:
12.1 deg, I = 18, (0 0 1); 32.7 deg, I = 100, (1 1 1); 33.3 deg, I = 53, (1 0 2); 40.9 deg, I = 28, (0 2 0); 42.5 deg, I = 48, (0 1 3); 45.5 deg, I = 20, (2 0 0); 53.7 deg, I = 27, (1 2 2); 62.8 deg, I = 15, (2 2 0); 64.0 deg, I = 29, (2 1 3); 72.2 deg, I = 12, (1 1 5)

---

No. 4
This entry pairs a crystal structure of Ce3GeIr3 with its simulated powder XRD pattern. Radiation: Cu Kα (weighted mean of Kα1 and Kα2). Structure: DFT lattice parameters and positions (PBE).

```
data_Ce3GeIr3
_cell_length_a 11.084
_cell_length_b 4.095
_cell_length_c 14.093
_cell_angle_alpha 90.00
_cell_angle_beta 111.16
_cell_angle_gamma 90.00
_space_group_name_H-M_alt 'C 1 2/m 1'
_space_group_IT_number 12
_space_group_name_Hall '-C 2y'
loop_
_atom_site_label
_atom_site_fract_x
_atom_site_fract_y
_atom_site_fract_z
Ce1 0.017 0.000 0.378
Ce2 0.106 0.000 0.925
Ce3 0.235 0.000 0.223
Ge1 0.229 0.500 0.399
Ir1 0.011 0.500 0.227
Ir2 0.131 0.500 0.074
Ir3 0.135 0.500 0.550
```

Largest 10 diffraction maxima, sorted by position, 2θ = 10–90°:
32.3 deg, I = 59, (4 0 -2); 32.8 deg, I = 39, (3 1 -1); 33.2 deg, I = 53, (1 1 3); 33.6 deg, I = 100, (1 1 -4); 37.4 deg, I = 56, (3 1 -4); 39.1 deg, I = 20, (4 0 -5); 40.2 deg, I = 86, (3 1 2); 41.2 deg, I = 34, (0 0 6); 44.2 deg, I = 53, (0 2 0); 55.8 deg, I = 26, (4 2 -2)

---

No. 5
This entry pairs a crystal structure of Ce2Ge3Ir with its simulated powder XRD pattern. Radiation: Cu Kα (weighted mean of Kα1 and Kα2). Structure: DFT lattice parameters and positions (PBE).

```
data_Ce2Ge3Ir
_cell_length_a 8.226
_cell_length_b 8.559
_cell_length_c 14.672
_cell_angle_alpha 90.00
_cell_angle_beta 90.00
_cell_angle_gamma 90.00
_space_group_name_H-M_alt 'F m m m'
_space_group_IT_number 69
_space_group_name_Hall '-F 2 2'
loop_
_atom_site_label
_atom_site_fract_x
_atom_site_fract_y
_atom_site_fract_z
Ce1 0.243 0.000 0.000
Ce2 0.250 0.250 0.250
Ge1 0.000 0.000 0.331
Ge2 0.000 0.249 0.416
Ir1 0.000 0.000 0.164
```

Largest 10 diffraction maxima, sorted by position, 2θ = 10–90°:
32.6 deg, I = 100, (2 2 2); 32.7 deg, I = 52, (2 0 4); 42.2 deg, I = 25, (0 4 0); 42.6 deg, I = 49, (0 2 6); 44.0 deg, I = 23, (4 0 0); 54.4 deg, I = 25, (2 4 4); 62.7 deg, I = 16, (4 4 0); 62.9 deg, I = 31, (4 2 6); 71.8 deg, I = 11, (2 2 10); 73.7 deg, I = 14, (6 0 4)

---

No. 6
This entry pairs a crystal structure of Ce3Ge3Ir2 with its simulated powder XRD pattern. Radiation: Cu Kα (weighted mean of Kα1 and Kα2). Structure: DFT lattice parameters and positions (PBE).

```
data_Ce3Ge3Ir2
_cell_length_a 4.355
_cell_length_b 10.490
_cell_length_c 14.886
_cell_angle_alpha 90.00
_cell_angle_beta 90.00
_cell_angle_gamma 90.00
_space_group_name_H-M_alt 'C m c m'
_space_group_IT_number 63
_space_group_name_Hall '-C 2c 2'
loop_
_atom_site_label
_atom_site_fract_x
_atom_site_fract_y
_atom_site_fract_z
Ce1 0.000 0.103 0.106
Ce2 0.000 0.378 0.250
Ge1 0.000 0.329 0.750
Ge2 0.000 0.385 0.036
Ir1 0.000 0.178 0.611
```

Largest 10 diffraction maxima, sorted by position, 2θ = 10–90°:
32.8 deg, I = 100, (1 1 4); 33.4 deg, I = 34, (1 3 1); 34.2 deg, I = 28, (0 4 0); 36.2 deg, I = 17, (0 0 6); 37.6 deg, I = 24, (1 3 3); 38.8 deg, I = 24, (0 4 3); 41.0 deg, I = 70, (1 3 4); 41.5 deg, I = 41, (2 0 0); 54.8 deg, I = 22, (2 4 0); 66.2 deg, I = 16, (1 7 1)

---

No. 7
This entry pairs a crystal structure of Ce5Ge5Ir2 with its simulated powder XRD pattern. Radiation: Cu Kα (weighted mean of Kα1 and Kα2). Structure: DFT lattice parameters and positions (PBE).

```
data_Ce5Ge5Ir2
_cell_length_a 15.319
_cell_length_b 4.275
_cell_length_c 11.211
_cell_angle_alpha 90.00
_cell_angle_beta 132.24
_cell_angle_gamma 90.00
_space_group_name_H-M_alt 'C 1 2/m 1'
_space_group_IT_number 12
_space_group_name_Hall '-C 2y'
loop_
_atom_site_label
_atom_site_fract_x
_atom_site_fract_y
_atom_site_fract_z
Ce1 0.000 0.000 0.000
Ce2 0.124 0.500 0.802
Ce3 0.204 0.500 0.592
Ge1 0.000 0.000 0.500
Ge2 0.052 0.000 0.314
Ge3 0.198 0.500 0.129
Ir1 0.110 0.500 0.261
```

Largest 10 diffraction maxima, sorted by position, 2θ = 10–90°:
11.6 deg, I = 44, (2 0 -1); 31.6 deg, I = 100, (3 1 0); 34.6 deg, I = 94, (2 0 -4); 34.8 deg, I = 27, (1 1 -3); 36.4 deg, I = 28, (5 1 -2); 36.7 deg, I = 30, (6 0 -2); 39.9 deg, I = 88, (5 1 -4); 42.3 deg, I = 45, (0 2 0); 49.7 deg, I = 23, (4 0 2); 55.8 deg, I = 24, (2 2 -4)

---

No. 8
This entry pairs a crystal structure of Ce2Ge6Ir with its simulated powder XRD pattern. Radiation: Cu Kα (weighted mean of Kα1 and Kα2). Structure: DFT lattice parameters and positions (PBE).

```
data_Ce2Ge6Ir
_cell_length_a 4.136
_cell_length_b 4.119
_cell_length_c 22.159
_cell_angle_alpha 90.00
_cell_angle_beta 90.00
_cell_angle_gamma 90.00
_space_group_name_H-M_alt 'A m m 2'
_space_group_IT_number 38
_space_group_name_Hall 'A 2 -2'
loop_
_atom_site_label
_atom_site_fract_x
_atom_site_fract_y
_atom_site_fract_z
Ce1 0.000 0.000 0.000
Ce2 0.000 0.000 0.333
Ge1 0.000 0.000 0.617
Ge2 0.000 0.000 0.731
Ge3 0.500 0.000 0.118
Ge4 0.500 0.000 0.231
Ge5 0.500 0.000 0.444
Ge6 0.500 0.000 0.875
Ir1 0.500 0.000 0.554
```

Largest 10 diffraction maxima, sorted by position, 2θ = 10–90°:
16.0 deg, I = 13, (0 0 4); 32.5 deg, I = 25, (1 0 6); 33.0 deg, I = 100, (1 1 3); 35.8 deg, I = 11, (0 1 7); 42.1 deg, I = 21, (1 1 7); 42.8 deg, I = 22, (0 1 9); 43.8 deg, I = 24, (2 0 0); 44.0 deg, I = 24, (0 2 0); 62.9 deg, I = 14, (2 1 9); 63.8 deg, I = 15, (2 2 0)

---

No. 9
This entry pairs a crystal structure of Ce12Ge5Ir2 with its simulated powder XRD pattern. Radiation: Cu Kα (weighted mean of Kα1 and Kα2). Structure: DFT lattice parameters and positions (PBE).

```
data_Ce12Ge5Ir2
_cell_length_a 16.042
_cell_length_b 7.287
_cell_length_c 8.901
_cell_angle_alpha 90.00
_cell_angle_beta 93.05
_cell_angle_gamma 90.00
_space_group_name_H-M_alt 'C 1 2/m 1'
_space_group_IT_number 12
_space_group_name_Hall '-C 2y'
loop_
_atom_site_label
_atom_site_fract_x
_atom_site_fract_y
_atom_site_fract_z
Ce1 0.017 0.000 0.221
Ce2 0.040 0.500 0.322
Ce3 0.164 0.306 0.045
Ce4 0.171 0.223 0.563
Ge1 0.000 0.500 0.000
Ge2 0.171 0.000 0.840
Ge3 0.218 0.000 0.260
Ir1 0.000 0.200 0.500
```

Largest 10 diffraction maxima, sorted by position, 2θ = 10–90°:
20.0 deg, I = 27, (0 0 2); 23.4 deg, I = 25, (2 0 2); 24.9 deg, I = 27, (4 0 1); 31.8 deg, I = 100, (0 2 2); 32.8 deg, I = 45, (1 1 -3); 33.4 deg, I = 27, (2 2 -2); 33.6 deg, I = 60, (6 0 0); 38.8 deg, I = 25, (1 3 -1); 42.8 deg, I = 27, (6 2 -1); 46.0 deg, I = 28, (6 2 -2)

---

No. 10
This entry pairs a crystal structure of Ce3Ge3Ir2 with its simulated powder XRD pattern. Radiation: Cu Kα (weighted mean of Kα1 and Kα2). Structure: DFT lattice parameters and positions (PBE).

```
data_Ce3Ge3Ir2
_cell_length_a 7.991
_cell_length_b 14.785
_cell_length_c 5.762
_cell_angle_alpha 90.00
_cell_angle_beta 90.00
_cell_angle_gamma 90.00
_space_group_name_H-M_alt 'P n m a'
_space_group_IT_number 62
_space_group_name_Hall '-P 2ac 2n'
loop_
_atom_site_label
_atom_site_fract_x
_atom_site_fract_y
_atom_site_fract_z
Ce1 0.038 0.107 0.119
Ce2 0.177 0.250 0.634
Ge1 0.175 0.750 0.624
Ge2 0.185 0.038 0.610
Ir1 0.101 0.610 0.376
```

Largest 10 diffraction maxima, sorted by position, 2θ = 10–90°:
33.0 deg, I = 72, (2 4 0); 33.6 deg, I = 75, (1 1 2); 36.5 deg, I = 30, (0 6 0); 36.6 deg, I = 85, (2 4 1); 37.2 deg, I = 43, (3 0 1); 37.9 deg, I = 100, (1 3 2); 41.3 deg, I = 46, (1 4 2); 41.6 deg, I = 34, (3 3 1); 48.2 deg, I = 26, (4 0 1); 55.1 deg, I = 34, (1 7 2)

---

No. 11
This entry pairs a crystal structure of Ce3Ge2Ir2 with its simulated powder XRD pattern. Radiation: Cu Kα (weighted mean of Kα1 and Kα2). Structure: DFT lattice parameters and positions (PBE).

```
data_Ce3Ge2Ir2
_cell_length_a 4.033
_cell_length_b 4.407
_cell_length_c 18.125
_cell_angle_alpha 90.00
_cell_angle_beta 90.00
_cell_angle_gamma 90.00
_space_group_name_H-M_alt 'I m m m'
_space_group_IT_number 71
_space_group_name_Hall '-I 2 2'
loop_
_atom_site_label
_atom_site_fract_x
_atom_site_fract_y
_atom_site_fract_z
Ce1 0.000 0.000 0.000
Ce2 0.000 0.500 0.180
Ge1 0.000 0.500 0.357
Ir1 0.000 0.000 0.428
```

Largest 10 diffraction maxima, sorted by position, 2θ = 10–90°:
20.7 deg, I = 21, (0 1 1); 31.7 deg, I = 100, (1 1 2); 33.2 deg, I = 53, (1 0 5); 40.4 deg, I = 36, (0 1 7); 41.0 deg, I = 33, (0 2 0); 42.7 deg, I = 38, (1 1 6); 45.0 deg, I = 25, (2 0 0); 53.7 deg, I = 27, (1 2 5); 62.0 deg, I = 20, (2 1 7); 62.4 deg, I = 19, (2 2 0)

---

No. 12
This entry pairs a crystal structure of CeSmGeIr with its simulated powder XRD pattern. Radiation: Cu Kα (weighted mean of Kα1 and Kα2). Structure: DFT lattice parameters and positions (PBE).

```
data_CeSmGeIr
_cell_length_a 4.115
_cell_length_b 4.115
_cell_length_c 10.847
_cell_angle_alpha 90.00
_cell_angle_beta 90.00
_cell_angle_gamma 90.00
_space_group_name_H-M_alt 'P 4/n m m'
_space_group_IT_number 129
loop_
_space_group_symop_operation_xyz
'x,y,z'
'-x,-y,-z'
'-y+1/2,x,z'
'y+1/2,-x,-z'
'-x+1/2,-y+1/2,z'
'x+1/2,y+1/2,-z'
'y,-x+1/2,z'
'-y,x+1/2,-z'
'x+1/2,-y,-z'
'-x+1/2,y,z'
'-y,-x,-z'
'y,x,z'
'-x,y+1/2,-z'
'x,-y+1/2,z'
'y+1/2,x+1/2,-z'
'-y+1/2,-x+1/2,z'
loop_
_atom_site_label
_atom_site_fract_x
_atom_site_fract_y
_atom_site_fract_z
Ce1 0.250 0.750 0.000
Sm1 0.250 0.250 0.287
Ge1 0.250 0.250 0.558
Ir1 0.250 0.250 0.791
```

Largest 10 diffraction maxima, sorted by position, 2θ = 10–90°:
30.7 deg, I = 37, (1 1 0); 31.8 deg, I = 34, (1 1 1); 33.0 deg, I = 24, (0 0 4); 35.0 deg, I = 100, (1 1 2); 39.8 deg, I = 84, (1 0 4); 44.0 deg, I = 56, (2 0 0); 56.1 deg, I = 20, (2 0 4); 60.8 deg, I = 36, (2 1 4); 64.0 deg, I = 18, (2 2 0); 75.1 deg, I = 22, (3 1 2)